No. 1
For SiTc2Cl, a crystal structure in Alexandria, relaxed with GGA-PBE gives the computed X-ray powder pattern in this record (CuKα).
Lines closer than 0.1° are merged.

Structural model:
```
data_SiTc2Cl
_cell_length_a 2.918
_cell_length_b 2.918
_cell_length_c 7.738
_cell_angle_alpha 90.00
_cell_angle_beta 90.00
_cell_angle_gamma 90.00
_symmetry_space_group_name_H-M 'P 4 m m'
_symmetry_Int_Tables_number 99
_symmetry_space_group_name_Hall 'P 4 -2'
loop_
_atom_site_label
_atom_site_type_symbol
_atom_site_fract_x
_atom_site_fract_y
_atom_site_fract_z
Si1 Si 0.000 0.000 0.000
Tc1 Tc 0.000 0.000 0.409
Tc2 Tc 0.500 0.500 0.192
Cl1 Cl 0.500 0.500 0.629
```

Peak list (6 most intense, 10° ≤ 2θ ≤ 90°, sorted by position)
(0 0 1), 11.44°, I = 100.0
(1 0 2), 38.65°, I = 72.8
(1 1 0), 43.87°, I = 29.7
(1 0 3), 47.01°, I = 33.9
(2 1 2), 77.13°, I = 18.0
(2 1 3), 82.89°, I = 14.8

***

No. 2
For K2Pu3I8, a crystal structure in Alexandria, relaxed with GGA-PBE gives the computed X-ray powder pattern in this record (CuKα).
Lines closer than 0.1° are merged.

Structural model:
```
data_K2Pu3I8
_cell_length_a 16.712
_cell_length_b 9.403
_cell_length_c 7.779
_cell_angle_alpha 90.00
_cell_angle_beta 91.66
_cell_angle_gamma 90.00
_symmetry_space_group_name_H-M 'C 1 2/m 1'
_symmetry_Int_Tables_number 12
_symmetry_space_group_name_Hall '-C 2y'
loop_
_atom_site_label
_atom_site_type_symbol
_atom_site_fract_x
_atom_site_fract_y
_atom_site_fract_z
K1 K 0.232 0.000 0.021
Pu1 Pu 0.000 0.253 0.500
Pu2 Pu 0.000 0.500 0.000
I1 I 0.111 0.500 0.341
I2 I 0.113 0.000 0.380
I3 I 0.113 0.266 0.839
```

Peak list (6 most intense, 10° ≤ 2θ ≤ 90°, sorted by position)
(2 0 0), 10.59°, I = 100.0
(2 2 -1), 24.41°, I = 91.3
(2 0 2), 25.55°, I = 52.5
(4 2 -1), 30.62°, I = 72.7
(4 2 1), 31.10°, I = 35.6
(0 2 3), 39.68°, I = 78.8

***

Repeat the second record exactly.
For K2Pu3I8, a crystal structure in Alexandria, relaxed with GGA-PBE gives the computed X-ray powder pattern in this record (CuKα).
Lines closer than 0.1° are merged.

Structural model:
```
data_K2Pu3I8
_cell_length_a 16.712
_cell_length_b 9.403
_cell_length_c 7.779
_cell_angle_alpha 90.00
_cell_angle_beta 91.66
_cell_angle_gamma 90.00
_symmetry_space_group_name_H-M 'C 1 2/m 1'
_symmetry_Int_Tables_number 12
_symmetry_space_group_name_Hall '-C 2y'
loop_
_atom_site_label
_atom_site_type_symbol
_atom_site_fract_x
_atom_site_fract_y
_atom_site_fract_z
K1 K 0.232 0.000 0.021
Pu1 Pu 0.000 0.253 0.500
Pu2 Pu 0.000 0.500 0.000
I1 I 0.111 0.500 0.341
I2 I 0.113 0.000 0.380
I3 I 0.113 0.266 0.839
```

Peak list (6 most intense, 10° ≤ 2θ ≤ 90°, sorted by position)
(2 0 0), 10.59°, I = 100.0
(2 2 -1), 24.41°, I = 91.3
(2 0 2), 25.55°, I = 52.5
(4 2 -1), 30.62°, I = 72.7
(4 2 1), 31.10°, I = 35.6
(0 2 3), 39.68°, I = 78.8

***

Please write out number 1 again, unchanged.
For SiTc2Cl, a crystal structure in Alexandria, relaxed with GGA-PBE gives the computed X-ray powder pattern in this record (CuKα).
Lines closer than 0.1° are merged.

Structural model:
```
data_SiTc2Cl
_cell_length_a 2.918
_cell_length_b 2.918
_cell_length_c 7.738
_cell_angle_alpha 90.00
_cell_angle_beta 90.00
_cell_angle_gamma 90.00
_symmetry_space_group_name_H-M 'P 4 m m'
_symmetry_Int_Tables_number 99
_symmetry_space_group_name_Hall 'P 4 -2'
loop_
_atom_site_label
_atom_site_type_symbol
_atom_site_fract_x
_atom_site_fract_y
_atom_site_fract_z
Si1 Si 0.000 0.000 0.000
Tc1 Tc 0.000 0.000 0.409
Tc2 Tc 0.500 0.500 0.192
Cl1 Cl 0.500 0.500 0.629
```

Peak list (6 most intense, 10° ≤ 2θ ≤ 90°, sorted by position)
(0 0 1), 11.44°, I = 100.0
(1 0 2), 38.65°, I = 72.8
(1 1 0), 43.87°, I = 29.7
(1 0 3), 47.01°, I = 33.9
(2 1 2), 77.13°, I = 18.0
(2 1 3), 82.89°, I = 14.8